Theoretical powder diffractogram of Cs2PbWO6 for Cu Kα X-rays, from a PBE+U-relaxed structure.

Principal peaks in the range 5 to 70 degrees two-theta, by angle:
(1 0 0), 2θ 15.16, I 83
(1 0 1), 2θ 21.82, I 32
(1 1 0), 2θ 26.41, I 100
(0 1 2), 2θ 35.14, I 52
(2 0 2), 2θ 44.49, I 37
(1 2 2), 2θ 52.49, I 41

Structural model:
```
Cs2PbWO6
1.0
6.748 0.000 0.000
-3.374 5.844 0.000
0.000 0.000 5.679
Cs Pb W O
2 1 1 6
Cartesian
0.000 3.896 0.993
3.374 1.948 4.686
0.000 0.000 2.839
0.000 0.000 0.000
0.000 1.562 4.460
-2.022 5.063 4.460
1.353 0.781 1.219
2.022 5.063 4.460
5.396 0.781 1.219
3.374 4.282 1.219
```